Simulated X-ray diffraction stick pattern
Compound: Ce3Ga6Cu5
Radiation: Cu Kα (weighted mean of Kα1 and Kα2)
Structure: a structure optimized by DFT (GGA-PBE)
Intensities are scaled so that the largest is 100.

Principal peaks in the range 15 to 90 degrees two-theta, sorted by position:
index, 2theta, I/Imax
0 4 2, 34.26, 42
1 4 1, 35.41, 65
1 3 2, 35.64, 100
1 0 3, 37.72, 67
1 2 3, 40.18, 36
0 6 0, 40.73, 23
2 0 0, 40.84, 60
1 1 4, 48.02, 19
2 4 2, 54.35, 25
2 3 3, 56.77, 18
1 7 4, 69.76, 27
3 3 2, 70.99, 16

Structure:
```
data_Ce3Ga6Cu5
_space_group_name_H-M_alt 'P m m n'
_space_group_IT_number 59
_cell_length_a 4.419
_cell_length_b 13.292
_cell_length_c 8.496
_cell_angle_alpha 90.00
_cell_angle_beta 90.00
_cell_angle_gamma 90.00
loop_
_space_group_symop_operation_xyz
'x,y,z'
'-x,-y,-z'
'-x+1/2,-y+1/2,z'
'x+1/2,y+1/2,-z'
'x+1/2,-y,-z'
'-x+1/2,y,z'
'-x,y+1/2,-z'
'x,-y+1/2,z'
loop_
_atom_site_label
_atom_site_type_symbol
_atom_site_fract_x
_atom_site_fract_y
_atom_site_fract_z
Ce1 Ce 0.250 0.038 0.243
Ce2 Ce 0.250 0.750 0.243
Ga1 Ga 0.250 0.094 0.891
Ga2 Ga 0.250 0.250 0.082
Ga3 Ga 0.250 0.250 0.431
Ga4 Ga 0.250 0.602 0.537
Cu1 Cu 0.250 0.098 0.605
Cu2 Cu 0.250 0.613 0.961
Cu3 Cu 0.250 0.750 0.743
```